1.
For WN, a structure optimized by DFT (PBE) gives the simulated powder diffractogram in this record (Cu Kα, 1.54184 Å).

Cell and atoms:
Lattice parameters (Å, degrees): 4.1636 3.4596 2.8674 90.00 90.00 90.00
Space group Pmn2_1 (No. 31)
Unique sites:
W (0.0000, 0.1745, 0.0000) (multiplicity 2)
N (0.0000, 0.6663, 0.5321) (multiplicity 2)

Peak list (6 most intense, 10 to 80 degrees two-theta, by intensity)
2θ/deg  intensity  (hkl)
33.68  100  1 1 0
38.11  91  1 0 1
40.88  79  0 1 1
61.19  47  2 1 1
43.47  42  2 0 0
46.56  29  1 1 1

---

2.
For TiNb2O7, a structure optimized by DFT (PBE) gives the simulated powder diffractogram in this record (Cu Kα, 1.54184 Å).

Cell and atoms:
Lattice parameters (Å, degrees): 20.6101 3.8600 12.1631 90.00 120.29 90.00
Space group Cm (No. 8)
Unique sites:
Ti (0.0000, 0.0000, 0.0000) (multiplicity 2)
Ti (0.0170, 0.5000, 0.6180) (multiplicity 2)
Ti (0.4139, 0.0000, 0.2676) (multiplicity 2)
Nb (0.0920, 0.5000, 0.2592) (multiplicity 2)
Nb (0.1243, 0.5000, 0.9869) (multiplicity 2)
Nb (0.2019, 0.5000, 0.6303) (multiplicity 2)
Nb (0.2861, 0.5000, 0.2686) (multiplicity 2)
Nb (0.3197, 0.5000, 0.0018) (multiplicity 2)
Nb (0.3955, 0.5000, 0.6429) (multiplicity 2)
O (0.0320, 0.5000, 0.0334) (multiplicity 2)
O (0.0767, 0.5000, 0.8153) (multiplicity 2)
O (0.0812, 0.0000, 0.2106) (multiplicity 2)
O (0.1070, 0.0000, 0.0072) (multiplicity 2)
O (0.1075, 0.5000, 0.6249) (multiplicity 2)
O (0.1518, 0.5000, 0.4331) (multiplicity 2)
O (0.1822, 0.5000, 0.2159) (multiplicity 2)
O (0.2080, 0.0000, 0.6305) (multiplicity 2)
O (0.2296, 0.5000, 0.0440) (multiplicity 2)
O (0.2604, 0.5000, 0.8274) (multiplicity 2)
O (0.3039, 0.5000, 0.6350) (multiplicity 2)
O (0.3049, 0.0000, 0.2526) (multiplicity 2)
O (0.3303, 0.0000, 0.0475) (multiplicity 2)
O (0.3346, 0.5000, 0.4419) (multiplicity 2)
O (0.3800, 0.5000, 0.2267) (multiplicity 2)
O (0.4158, 0.0000, 0.6319) (multiplicity 2)
O (0.4189, 0.5000, 0.0226) (multiplicity 2)
O (0.4520, 0.5000, 0.8295) (multiplicity 2)
O (0.4615, 0.0000, 0.4345) (multiplicity 2)
O (0.4939, 0.0000, 0.2385) (multiplicity 2)
O (0.4977, 0.5000, 0.6272) (multiplicity 2)

Peak list (6 most intense, 10 to 80 degrees two-theta, by intensity)
2θ/deg  intensity  (hkl)
23.58  100  1 1 0
25.43  88  0 0 3
25.99  60  6 0 -2
32.05  45  5 1 -2
54.52  32  11 1 -3
47.09  32  0 2 0

---

3.
For Ni6W6C, a structure optimized by DFT (PBE) gives the simulated powder diffractogram in this record (Cu Kα, 1.54184 Å).

Cell and atoms:
Lattice parameters (Å, degrees): 10.9245 10.9245 10.9245 90.00 90.00 90.00
Space group Fd-3m (No. 227, origin choice 2)
Unique sites:
Ni (0.0000, 0.0000, 0.0000) (multiplicity 16)
Ni (0.0417, 0.0417, 0.2083) (multiplicity 32)
W (0.0735, 0.3750, 0.8750) (multiplicity 48)
C (0.1250, 0.1250, 0.6250) (multiplicity 8)

Peak list (6 most intense, 10 to 80 degrees two-theta, by intensity)
2θ/deg  intensity  (hkl)
43.02  100  3 3 3
40.45  51  4 2 2
73.57  43  8 2 2
47.06  38  4 4 0
32.79  29  4 0 0
35.83  27  3 3 1

---

4.
For Cs2HgI4, a structure optimized by DFT (PBE) gives the simulated powder diffractogram in this record (Cu Kα, 1.54184 Å).

Cell and atoms:
Lattice parameters (Å, degrees): 8.1414 8.6150 11.2866 90.00 110.04 90.00
Space group P2_1/m (No. 11)
Unique sites:
Cs (0.1977, 0.2500, 0.0349) (multiplicity 2)
Cs (0.2998, 0.2500, 0.5903) (multiplicity 2)
Hg (0.1849, 0.7500, 0.7765) (multiplicity 2)
I (0.0395, 0.5137, 0.2852) (multiplicity 4)
I (0.3561, 0.7500, 0.0465) (multiplicity 2)
I (0.4247, 0.7500, 0.6448) (multiplicity 2)

Peak list (6 most intense, 10 to 80 degrees two-theta, by intensity)
2θ/deg  intensity  (hkl)
25.72  100  2 1 -2
23.52  80  2 0 -2
26.68  45  1 2 -2
20.62  42  0 2 0
23.72  41  1 2 0
39.41  41  2 3 -2

---

5.
For Er2Au, a structure optimized by DFT (PBE) gives the simulated powder diffractogram in this record (Cu Kα, 1.54184 Å).

Cell and atoms:
Lattice parameters (Å, degrees): 7.0888 4.8928 8.8987 90.00 90.00 90.00
Space group Pnma (No. 62)
Unique sites:
Er (0.0177, 0.2500, 0.1793) (multiplicity 4)
Er (0.1517, 0.2500, 0.5751) (multiplicity 4)
Au (0.2451, 0.2500, 0.8958) (multiplicity 4)

Peak list (6 most intense, 10 to 80 degrees two-theta, by intensity)
2θ/deg  intensity  (hkl)
32.77  100  2 1 1
35.39  61  0 1 3
36.74  52  0 2 0
29.93  50  1 1 2
31.16  24  2 1 0
43.89  18  2 1 3